Simulated powder X-ray diffraction pattern of Li2Ni7 for Cu Kα, from the PBE geometry in Alexandria.
Kinematic intensities with the Lorentz-polarization factor, no thermal factor.

Cell and atoms:
Lattice parameters (Å, degrees): 12.095 12.095 12.095 22.46 22.46 22.46
Sites, in units of the cell vectors:
Li  0.054  0.054  0.054
Li  0.151  0.151  0.151
Li  0.849  0.849  0.849
Li  0.946  0.946  0.946
Ni  0.000  0.500  0.500
Ni  0.110  0.613  0.613
Ni  0.277  0.277  0.277
Ni  0.387  0.387  0.890
Ni  0.387  0.890  0.387
Ni  0.390  0.390  0.390
Ni  0.500  0.000  0.500
Ni  0.500  0.500  0.000
Ni  0.500  0.500  0.500
Ni  0.610  0.610  0.610
Ni  0.613  0.110  0.613
Ni  0.613  0.613  0.110
Ni  0.723  0.723  0.723
Ni  0.890  0.387  0.387

Principal peaks in the range 2θ = 10–90°, by intensity:
21.94 deg, I = 1000; 44.88 deg, I = 745; 49.20 deg, I = 580; 51.75 deg, I = 344; 46.22 deg, I = 330; 81.80 deg, I = 171; 22.63 deg, I = 164; 73.74 deg, I = 152; 44.50 deg, I = 137; 85.92 deg, I = 126